# 1
This entry pairs a crystal structure of GaHO2 with its computed powder diffractogram. Radiation: Cu Kα. Structure: a DFT-relaxed cell (PBE, Alexandria).
Kinematic intensities with the Lorentz-polarization factor, no thermal factor.

Main lines, in order of falling intensity (5 to 70 degrees two-theta):
2θ 27.05, rel. 100, (0 1 1)
2θ 36.23, rel. 53, (1 1 0)
2θ 54.98, rel. 40, (1 2 1)
2θ 52.01, rel. 35, (1 1 2)
2θ 34.86, rel. 28, (1 0 1)
2θ 36.01, rel. 21, (0 0 2)
2θ 64.00, rel. 16, (1 0 3)
2θ 55.78, rel. 15, (0 2 2)
2θ 68.67, rel. 14, (2 1 1)
2θ 40.64, rel. 11, (1 1 1)
2θ 59.44, rel. 11, (0 1 3)
2θ 61.76, rel. 10, (2 0 0)

Atomic structure:
a = 3.004 Å, b = 4.391 Å, c = 4.988 Å
α = 90.00°, β = 90.00°, γ = 90.00°
Space group Pmn2_1 (No. 31)
Symmetry-distinct sites (fractional):
Ga1 0.000 0.222 0.000 (multiplicity 2)
H1 0.000 0.309 0.517 (multiplicity 2)
O1 0.000 0.009 0.349 (multiplicity 2)
O2 0.000 0.498 0.639 (multiplicity 2)

***

# 2
This entry pairs a crystal structure of PrHo2Mg2 with its computed powder diffractogram. Radiation: Cu Kα. Structure: a DFT-relaxed cell (PBE, Alexandria).
Kinematic intensities with the Lorentz-polarization factor, no thermal factor.

Main lines, in order of falling intensity (5 to 70 degrees two-theta):
2θ 32.97, rel. 100, (1 1 2)
2θ 25.03, rel. 29, (0 1 3)
2θ 32.53, rel. 28, (0 2 0)
2θ 31.99, rel. 22, (0 0 5)
2θ 23.85, rel. 20, (1 0 -1)
2θ 58.32, rel. 20, (1 3 2)
2θ 46.27, rel. 16, (0 2 5)
2θ 20.53, rel. 14, (0 1 2)
2θ 54.88, rel. 13, (1 2 -6)
2θ 57.64, rel. 12, (1 1 7)
2θ 6.32, rel. 10, (0 0 1)
2θ 40.74, rel. 10, (1 2 -1)

Atomic structure:
a = 3.765 Å, b = 5.505 Å, c = 14.115 Å
α = 90.00°, β = 97.68°, γ = 90.00°
Space group P2_1/m (No. 11)
Symmetry-distinct sites (fractional):
Pr1 0.151 0.250 0.301 (multiplicity 2)
Ho1 0.045 0.750 0.089 (multiplicity 2)
Ho2 0.237 0.750 0.475 (multiplicity 2)
Mg1 0.360 0.250 0.720 (multiplicity 2)
Mg2 0.450 0.750 0.899 (multiplicity 2)

***

# 3
This entry pairs a crystal structure of NiTe8Pt3 with its computed powder diffractogram. Radiation: Cu Kα. Structure: a DFT-relaxed cell (PBE, Alexandria).
Kinematic intensities with the Lorentz-polarization factor, no thermal factor.

Main lines, in order of falling intensity (5 to 70 degrees two-theta):
2θ 30.51, rel. 100, (-1 1 2)
2θ 44.78, rel. 60, (1 1 2)
2θ 30.64, rel. 50, (2 0 0)
2θ 16.68, rel. 35, (1 -1 0)
2θ 42.56, rel. 23, (1 -3 0)
2θ 42.85, rel. 22, (-3 1 2)
2θ 42.70, rel. 22, (2 -2 2)
2θ 55.33, rel. 10, (3 1 -4)
2θ 55.16, rel. 9, (1 -1 4)
2θ 55.05, rel. 9, (1 3 0)
2θ 48.02, rel. 8, (1 3 -2)
2θ 58.20, rel. 8, (2 -4 0)

Atomic structure:
a = 6.654 Å, b = 6.704 Å, c = 8.093 Å
α = 107.72°, β = 107.48°, γ = 105.42°
Space group P-1 (No. 2)
Symmetry-distinct sites (fractional):
Ni1 0.000 0.000 0.000 (multiplicity 1)
Te1 0.032 0.290 0.325 (multiplicity 2)
Te2 0.035 0.285 0.838 (multiplicity 2)
Te3 0.450 0.200 0.162 (multiplicity 2)
Te4 0.463 0.206 0.666 (multiplicity 2)
Pt1 0.000 0.000 0.500 (multiplicity 1)
Pt2 0.500 0.500 0.000 (multiplicity 1)
Pt3 0.500 0.500 0.500 (multiplicity 1)

***

# 4
This entry pairs a crystal structure of Ho2Tm6Zn with its computed powder diffractogram. Radiation: Cu Kα. Structure: a DFT-relaxed cell (PBE, Alexandria).
Kinematic intensities with the Lorentz-polarization factor, no thermal factor.

Main lines, in order of falling intensity (5 to 70 degrees two-theta):
2θ 32.24, rel. 100, (3 0 1)
2θ 33.15, rel. 71, (1 3 1)
2θ 31.83, rel. 64, (0 3 1)
2θ 34.17, rel. 63, (0 0 2)
2θ 33.50, rel. 35, (3 1 1)
2θ 32.50, rel. 34, (2 3 0)
2θ 38.58, rel. 27, (3 3 0)
2θ 47.87, rel. 23, (2 3 2)
2θ 52.47, rel. 22, (3 3 2)
2θ 59.96, rel. 19, (3 0 3)
2θ 32.72, rel. 18, (3 2 0)
2θ 62.28, rel. 14, (6 2 1)

Atomic structure:
a = 9.816 Å, b = 9.988 Å, c = 5.248 Å
α = 90.00°, β = 90.00°, γ = 90.00°
Space group Pnnm (No. 58)
Symmetry-distinct sites (fractional):
Ho1 0.206 0.226 0.000 (multiplicity 4)
Tm1 0.032 0.317 0.500 (multiplicity 4)
Tm2 0.127 0.884 0.000 (multiplicity 4)
Tm3 0.183 0.552 0.000 (multiplicity 4)
Zn1 0.000 0.000 0.500 (multiplicity 2)

***

# 5
This entry pairs a crystal structure of Ti2V6Re with its computed powder diffractogram. Radiation: Cu Kα. Structure: a DFT-relaxed cell (PBE, Alexandria).
Kinematic intensities with the Lorentz-polarization factor, no thermal factor.

Main lines, in order of falling intensity (5 to 70 degrees two-theta):
2θ 40.81, rel. 100, (3 3 0)
2θ 13.35, rel. 82, (1 1 0)
2θ 41.33, rel. 48, (6 0 0)
2θ 42.19, rel. 42, (0 2 1)
2θ 41.23, rel. 42, (3 1 -1)
2θ 13.51, rel. 39, (2 0 0)
2θ 43.47, rel. 37, (3 1 1)
2θ 23.42, rel. 22, (3 1 0)
2θ 37.00, rel. 20, (1 1 -1)
2θ 26.88, rel. 16, (2 2 0)
2θ 58.79, rel. 15, (6 2 -1)
2θ 62.26, rel. 13, (6 2 1)

Atomic structure:
a = 13.132 Å, b = 7.692 Å, c = 2.584 Å
α = 90.00°, β = 93.59°, γ = 90.00°
Space group C2/m (No. 12)
Symmetry-distinct sites (fractional):
Ti1 0.166 0.000 0.006 (multiplicity 4)
V1 0.000 0.172 0.500 (multiplicity 4)
V2 0.167 0.331 0.348 (multiplicity 8)
Re1 0.000 0.500 0.000 (multiplicity 2)

***

# 6
This entry pairs a crystal structure of K3Tl4CuBr8 with its computed powder diffractogram. Radiation: Cu Kα. Structure: a DFT-relaxed cell (PBE, Alexandria).
Kinematic intensities with the Lorentz-polarization factor, no thermal factor.

Main lines, in order of falling intensity (5 to 70 degrees two-theta):
2θ 27.23, rel. 100, (2 2 -2)
2θ 26.27, rel. 61, (4 0 0)
2θ 38.02, rel. 40, (2 2 2)
2θ 38.37, rel. 39, (6 2 -2)
2θ 11.43, rel. 36, (0 0 1)
2θ 22.57, rel. 32, (2 2 -1)
2θ 47.82, rel. 19, (4 4 0)
2θ 38.55, rel. 17, (4 0 -4)
2θ 39.21, rel. 17, (0 4 0)
2θ 29.23, rel. 15, (2 2 1)
2θ 29.51, rel. 14, (4 0 -3)
2θ 61.81, rel. 11, (10 2 -2)

Atomic structure:
a = 16.378 Å, b = 9.190 Å, c = 9.342 Å
α = 90.00°, β = 124.05°, γ = 90.00°
Space group C2/m (No. 12)
Symmetry-distinct sites (fractional):
K1 0.000 0.000 0.000 (multiplicity 2)
K2 0.250 0.250 0.000 (multiplicity 4)
Tl1 0.000 0.000 0.500 (multiplicity 2)
Tl2 0.000 0.500 0.500 (multiplicity 2)
Tl3 0.250 0.250 0.500 (multiplicity 4)
Cu1 0.000 0.500 0.000 (multiplicity 2)
Br1 0.001 0.296 0.798 (multiplicity 8)
Br2 0.233 0.000 0.738 (multiplicity 4)
Br3 0.248 0.000 0.243 (multiplicity 4)

***

# 7
This entry pairs a crystal structure of KGe with its computed powder diffractogram. Radiation: Cu Kα. Structure: a DFT-relaxed cell (PBE, Alexandria).
Kinematic intensities with the Lorentz-polarization factor, no thermal factor.

Main lines, in order of falling intensity (5 to 70 degrees two-theta):
2θ 15.35, rel. 100, (1 1 2)
2θ 30.23, rel. 58, (3 2 1)
2θ 31.43, rel. 56, (2 1 5)
2θ 33.15, rel. 35, (4 0 0)
2θ 39.47, rel. 29, (3 2 5)
2θ 34.73, rel. 27, (4 0 2)
2θ 33.55, rel. 25, (3 2 3)
2θ 16.39, rel. 25, (2 0 0)
2θ 58.86, rel. 16, (5 2 7)
2θ 49.46, rel. 16, (4 3 5)
2θ 32.69, rel. 15, (1 1 6)
2θ 53.41, rel. 15, (1 1 10)

Atomic structure:
a = 10.815 Å, b = 10.815 Å, c = 17.602 Å
α = 90.00°, β = 90.00°, γ = 90.00°
Space group I4_1/acd (No. 142, origin choice 2)
Symmetry-distinct sites (fractional):
K1 0.123 0.127 0.125 (multiplicity 16)
K2 0.139 0.000 0.750 (multiplicity 16)
Ge1 0.062 0.146 0.927 (multiplicity 32)

***

# 8
This entry pairs a crystal structure of Cd4SnO5 with its computed powder diffractogram. Radiation: Cu Kα. Structure: a DFT-relaxed cell (PBE, Alexandria).
Kinematic intensities with the Lorentz-polarization factor, no thermal factor.

Main lines, in order of falling intensity (5 to 70 degrees two-theta):
2θ 32.00, rel. 100, (1 2 1)
2θ 37.85, rel. 56, (3 1 0)
2θ 52.93, rel. 38, (3 1 2)
2θ 35.59, rel. 32, (0 0 2)
2θ 64.71, rel. 27, (5 0 1)
2θ 66.90, rel. 18, (2 4 2)
2θ 54.61, rel. 18, (2 4 0)
2θ 61.67, rel. 16, (1 2 3)

Atomic structure:
a = 7.516 Å, b = 7.516 Å, c = 5.045 Å
α = 90.00°, β = 90.00°, γ = 90.00°
Space group I4 (No. 79)
Symmetry-distinct sites (fractional):
Cd1 0.099 0.701 0.000 (multiplicity 8)
Sn1 0.000 0.000 0.481 (multiplicity 2)
O1 0.000 0.000 0.892 (multiplicity 2)
O2 0.106 0.695 0.505 (multiplicity 8)

***

Q: What is the formula in the fifth record?
A: Ti2V6Re

***

Please write out number 5 again, unchanged.
This entry pairs a crystal structure of Ti2V6Re with its computed powder diffractogram. Radiation: Cu Kα. Structure: a DFT-relaxed cell (PBE, Alexandria).
Kinematic intensities with the Lorentz-polarization factor, no thermal factor.

Main lines, in order of falling intensity (5 to 70 degrees two-theta):
2θ 40.81, rel. 100, (3 3 0)
2θ 13.35, rel. 82, (1 1 0)
2θ 41.33, rel. 48, (6 0 0)
2θ 42.19, rel. 42, (0 2 1)
2θ 41.23, rel. 42, (3 1 -1)
2θ 13.51, rel. 39, (2 0 0)
2θ 43.47, rel. 37, (3 1 1)
2θ 23.42, rel. 22, (3 1 0)
2θ 37.00, rel. 20, (1 1 -1)
2θ 26.88, rel. 16, (2 2 0)
2θ 58.79, rel. 15, (6 2 -1)
2θ 62.26, rel. 13, (6 2 1)

Atomic structure:
a = 13.132 Å, b = 7.692 Å, c = 2.584 Å
α = 90.00°, β = 93.59°, γ = 90.00°
Space group C2/m (No. 12)
Symmetry-distinct sites (fractional):
Ti1 0.166 0.000 0.006 (multiplicity 4)
V1 0.000 0.172 0.500 (multiplicity 4)
V2 0.167 0.331 0.348 (multiplicity 8)
Re1 0.000 0.500 0.000 (multiplicity 2)